Record 1
For Li5CuF6, a PBE-relaxed structure gives the computed powder diffractogram in this record (CuKα).
Peak positions follow from Bragg's law for the DFT cell and can differ from measured ones.

Unit cell a=8.703 b=8.703 c=5.075 alpha=94.99 beta=94.99 gamma=60.40
Positions (direct):
Li1 0.000 0.000 0.000
Li2 0.002 0.333 0.558
Li3 0.164 0.497 0.935
Li4 0.167 0.833 0.500
Li5 0.330 0.330 0.432
Li6 0.333 0.002 0.558
Li7 0.333 0.667 0.000
Li8 0.497 0.164 0.935
Li9 0.503 0.836 0.065
Li10 0.667 0.333 0.000
Li11 0.667 0.998 0.442
Li12 0.670 0.670 0.568
Li13 0.833 0.167 0.500
Li14 0.836 0.503 0.065
Li15 0.998 0.667 0.442
Cu1 0.168 0.168 0.058
Cu2 0.500 0.500 0.500
Cu3 0.832 0.832 0.942
F1 0.081 0.434 0.251
F2 0.082 0.082 0.379
F3 0.097 0.749 0.150
F4 0.234 0.587 0.644
F5 0.251 0.903 0.850
F6 0.252 0.252 0.724
F7 0.410 0.410 0.112
F8 0.413 0.766 0.356
F9 0.434 0.081 0.251
F10 0.566 0.919 0.749
F11 0.587 0.234 0.644
F12 0.590 0.590 0.888
F13 0.748 0.748 0.276
F14 0.749 0.097 0.150
F15 0.766 0.413 0.356
F16 0.903 0.251 0.850
F17 0.918 0.918 0.621
F18 0.919 0.566 0.749

Largest 6 diffraction maxima, low angle first, 10 to 90 degrees two-theta:
2θ (°)	I_rel
20.3	61
20.5	100
20.7	69
40.8	74
48.3	55
63.6	46



Record 2
For Li2Cu2F7, a PBE-relaxed structure gives the computed powder diffractogram in this record (CuKα).
Peak positions follow from Bragg's law for the DFT cell and can differ from measured ones.

Unit cell a=5.198 b=6.716 c=8.521 alpha=71.15 beta=76.56 gamma=86.49
Positions (direct):
Li1 0.134 0.011 0.260
Li2 0.320 0.757 0.906
Li3 0.680 0.243 0.094
Li4 0.866 0.989 0.740
Cu1 0.185 0.479 0.332
Cu2 0.290 0.285 0.819
Cu3 0.710 0.715 0.181
Cu4 0.815 0.521 0.668
F1 0.058 0.623 0.102
F2 0.068 0.209 0.377
F3 0.174 0.021 0.816
F4 0.178 0.415 0.590
F5 0.343 0.754 0.294
F6 0.364 0.183 0.045
F7 0.450 0.568 0.777
F8 0.550 0.432 0.223
F9 0.636 0.817 0.955
F10 0.657 0.246 0.706
F11 0.822 0.585 0.410
F12 0.826 0.979 0.184
F13 0.932 0.791 0.623
F14 0.942 0.377 0.898

Largest 6 diffraction maxima, low angle first, 10 to 90 degrees two-theta:
2θ (°)	I_rel
13.9	100
14.9	96
22.6	71
25.4	43
40.9	43
43.5	39